Diffraction record for LiMo3S5. The X-ray diffraction stick pattern is simulated, not measured: it uses a DFT-relaxed cell (GGA-PBE, OQMD) and CuKα.

Largest 8 diffraction maxima, by intensity, 2θ = 10–90°:
12.8°, intensity 100.0; 39.2°, intensity 40.0; 45.5°, intensity 37.5; 18.2°, intensity 22.4; 36.9°, intensity 15.9; 54.7°, intensity 12.8; 41.3°, intensity 11.4; 38.9°, intensity 7.9

abc: 5.6216 5.6216 6.9398
angles: 90.00 90.00 120.00
Space group P6/mmm (No. 191)
One atom of each set of equivalent atoms:
Li  0.0000  0.0000  0.0000 x1
Mo  0.0000  0.5000  0.5000 x3
S  0.0000  0.0000  0.5000 x1
S  0.3333  0.6667  0.2378 x4

---

Diffraction record for CdIn4I6. The X-ray diffraction stick pattern is simulated, not measured: it uses a DFT-relaxed cell (GGA-PBE, OQMD) and CuKα.

Largest 8 diffraction maxima, by intensity, 2θ = 10–90°:
28.3°, intensity 100.0; 30.9°, intensity 54.9; 48.3°, intensity 22.5; 36.2°, intensity 18.5; 44.7°, intensity 14.7; 27.6°, intensity 13.5; 28.7°, intensity 11.7; 57.3°, intensity 11.3

abc: 9.151 9.151 9.930
angles: 90.00 90.00 90.00
Space group P4/mnc (No. 128)
One atom of each set of equivalent atoms:
Cd  0.000  0.000  0.000 x2
In  0.146  0.354  0.250 x8
I  0.000  0.000  0.291 x4
I  0.149  0.693  0.000 x8

---

Diffraction record for KFePbS3. The X-ray diffraction stick pattern is simulated, not measured: it uses a DFT-relaxed cell (GGA-PBE, OQMD) and CuKα.

Largest 8 diffraction maxima, by intensity, 2θ = 10–90°:
12.1°, intensity 100.0; 30.4°, intensity 32.4; 30.6°, intensity 27.5; 27.2°, intensity 21.6; 35.5°, intensity 17.4; 45.4°, intensity 16.0; 24.6°, intensity 15.1; 24.2°, intensity 14.4

abc: 8.855 3.994 9.880
angles: 90.00 104.01 90.00
Space group P2_1/m (No. 11)
One atom of each set of equivalent atoms:
K  0.222  0.250  0.259 x2
Fe  0.073  0.250  0.589 x2
Pb  0.339  0.750  0.867 x2
S  0.076  0.250  0.808 x2
S  0.182  0.750  0.533 x2
S  0.443  0.750  0.156 x2